The following is a simulated powder X-ray diffraction pattern of MnRu2F8. It was derived from a DFT-relaxed cell (PBE+U, Alexandria), using CuKα.

The 10 most intense peaks (10 to 80 degrees two-theta), in order of rising 2θ:
2θ/deg  Rel. int.
26.23  100.0
30.35  8.1
46.26  32.6
46.38  7.1
51.57  5.8
53.92  15.1
54.05  9.7
60.98  15.8
71.76  6.0
73.72  9.6

Crystal structure
Cell lengths 6.801, 6.801, 4.152 Å; angles 90.00, 90.00, 120.00 degrees
Element x y z (fractional)
1 Mn 0.000 0.000 0.000
2 Ru 0.333 0.667 0.248
3 Ru 0.667 0.333 0.752
4 F 0.160 0.838 0.248
5 F 0.162 0.321 0.248
6 F 0.321 0.160 0.752
7 F 0.333 0.667 0.748
8 F 0.667 0.333 0.252
9 F 0.679 0.840 0.248
10 F 0.838 0.679 0.752
11 F 0.840 0.162 0.752